[1]
Li8Fe9CoO20: simulated powder X-ray diffraction pattern (a wavelength of 1.5418 Å), based on the PBE+U geometry in Alexandria.
Peak positions follow from Bragg's law for the DFT cell and can differ from measured ones.

Structure:
```
Li8Fe9CoO20
1.0
5.822 0.000 0.000
0.000 2.866 0.000
-2.341 0.000 20.668
Li Fe Co O
8 9 1 20
direct
0.104 0.000 0.201
0.106 0.500 0.701
0.323 0.000 0.594
0.323 0.500 0.093
0.677 0.000 0.406
0.677 0.500 0.907
0.894 0.500 0.299
0.896 0.000 0.799
0.000 0.500 0.500
0.200 0.000 0.400
0.200 0.500 0.901
0.397 0.500 0.299
0.398 0.000 0.800
0.602 0.000 0.200
0.603 0.500 0.701
0.800 0.000 0.600
0.800 0.500 0.099
0.000 0.000 0.000
0.030 0.000 0.092
0.031 0.500 0.594
0.166 0.000 0.304
0.167 0.500 0.805
0.211 0.500 0.996
0.216 0.000 0.496
0.372 0.500 0.204
0.374 0.000 0.704
0.421 0.000 0.894
0.422 0.500 0.393
0.578 0.500 0.607
0.579 0.000 0.106
0.626 0.000 0.296
0.628 0.500 0.796
0.784 0.000 0.504
0.789 0.500 0.004
0.833 0.500 0.195
0.834 0.000 0.696
0.969 0.500 0.406
0.970 0.000 0.908
```

Top 10 peaks for 5 to 70 degrees two-theta, sorted by position:
2θ (°)  I_rel
18.4  100
36.5  11
36.7  24
38.2  7
43.8  21
44.4  41
58.3  9
63.4  11
64.8  11
68.3  8

[2]
Li8FeCo3O8: simulated powder X-ray diffraction pattern (a wavelength of 1.5418 Å), based on the PBE+U geometry in Alexandria.
Peak positions follow from Bragg's law for the DFT cell and can differ from measured ones.

Structure:
```
Li8FeCo3O8
1.0
5.312 0.000 0.000
-0.316 5.360 0.000
-0.062 -0.155 7.147
Li Fe Co O
8 1 3 8
direct
0.000 0.000 0.000
0.017 0.513 0.053
0.107 0.874 0.361
0.165 0.203 0.681
0.431 0.565 0.480
0.507 0.037 0.530
0.649 0.814 0.172
0.675 0.324 0.861
0.400 0.215 0.160
0.387 0.700 0.874
0.877 0.797 0.666
0.892 0.337 0.399
0.259 0.807 0.631
0.267 0.254 0.416
0.273 0.828 0.125
0.294 0.334 0.911
0.769 0.696 0.915
0.770 0.681 0.408
0.789 0.205 0.145
0.807 0.165 0.643
```

Top 10 peaks for 5 to 70 degrees two-theta, sorted by position:
2θ (°)  I_rel
20.5  58
20.8  45
20.9  100
30.4  18
33.4  46
33.8  47
34.7  17
39.1  35
41.7  18
51.1  20

[3]
Li5Fe2Co3O10: simulated powder X-ray diffraction pattern (a wavelength of 1.5418 Å), based on the PBE+U geometry in Alexandria.
Peak positions follow from Bragg's law for the DFT cell and can differ from measured ones.

Structure:
```
Li5Fe2Co3O10
1.0
4.996 0.000 0.000
-0.839 5.020 0.000
-1.781 -2.692 6.961
Li Fe Co O
5 2 3 10
direct
0.000 0.000 0.000
0.101 0.206 0.717
0.289 0.574 0.082
0.711 0.426 0.918
0.899 0.794 0.283
0.393 0.802 0.805
0.607 0.198 0.195
0.200 0.404 0.401
0.500 0.000 0.500
0.800 0.596 0.599
0.051 0.599 0.830
0.144 0.769 0.552
0.275 0.044 0.274
0.365 0.194 0.956
0.465 0.392 0.632
0.535 0.608 0.368
0.635 0.806 0.044
0.725 0.956 0.726
0.856 0.231 0.448
0.949 0.401 0.170
```

Top 10 peaks for 5 to 70 degrees two-theta, sorted by position:
2θ (°)  I_rel
12.7  100
18.6  99
18.9  36
23.1  25
26.9  27
36.5  29
37.7  27
43.2  70
44.2  68
44.6  64

[4]
Li4FeCo9O20: simulated powder X-ray diffraction pattern (a wavelength of 1.5418 Å), based on the PBE+U geometry in Alexandria.
Peak positions follow from Bragg's law for the DFT cell and can differ from measured ones.

Structure:
```
Li4FeCo9O20
1.0
4.909 0.000 0.000
-2.453 7.106 0.000
-0.749 -1.067 9.982
Li Fe Co O
4 1 9 20
direct
0.000 0.000 0.000
0.060 0.524 0.509
0.281 0.963 0.510
0.344 0.490 0.012
0.494 0.117 0.251
0.063 0.785 0.757
0.090 0.314 0.259
0.260 0.186 0.755
0.284 0.711 0.258
0.463 0.586 0.753
0.660 0.985 0.754
0.690 0.515 0.261
0.861 0.385 0.759
0.884 0.908 0.262
0.004 0.499 0.163
0.153 0.596 0.853
0.160 0.119 0.358
0.166 0.372 0.659
0.172 0.885 0.158
0.343 0.001 0.852
0.363 0.771 0.654
0.370 0.529 0.357
0.389 0.309 0.155
0.544 0.401 0.852
0.566 0.917 0.356
0.568 0.172 0.660
0.596 0.696 0.162
0.755 0.802 0.851
0.783 0.568 0.659
0.795 0.335 0.359
0.820 0.093 0.155
0.954 0.198 0.854
0.981 0.970 0.659
0.983 0.728 0.362
```

Top 10 peaks for 5 to 70 degrees two-theta, sorted by position:
2θ (°)  I_rel
17.8  100
36.0  5
36.8  8
37.2  19
43.3  14
44.3  15
44.6  14
56.0  5
57.3  5
65.9  7

[5]
Li6Fe3Co7O20: simulated powder X-ray diffraction pattern (a wavelength of 1.5418 Å), based on the PBE+U geometry in Alexandria.
Peak positions follow from Bragg's law for the DFT cell and can differ from measured ones.

Structure:
```
Li6Fe3Co7O20
1.0
5.831 0.000 0.000
0.000 2.864 0.000
-1.693 0.000 20.916
Li Fe Co O
6 3 7 20
direct
0.000 0.000 0.000
0.001 0.500 0.501
0.340 0.000 0.820
0.417 0.500 0.308
0.582 0.500 0.694
0.659 0.000 0.182
0.065 0.500 0.699
0.501 0.500 0.501
0.933 0.500 0.303
0.120 0.000 0.199
0.291 0.000 0.599
0.305 0.500 0.100
0.499 0.000 0.001
0.693 0.500 0.902
0.710 0.000 0.403
0.878 0.000 0.803
0.077 0.500 0.601
0.096 0.000 0.106
0.101 0.500 0.796
0.165 0.000 0.291
0.277 0.000 0.509
0.279 0.500 0.009
0.312 0.000 0.690
0.340 0.500 0.189
0.482 0.000 0.910
0.498 0.500 0.408
0.502 0.500 0.595
0.516 0.000 0.092
0.658 0.500 0.812
0.686 0.000 0.312
0.719 0.500 0.992
0.724 0.000 0.493
0.833 0.000 0.711
0.897 0.500 0.206
0.901 0.000 0.895
0.923 0.500 0.401
```

Top 10 peaks for 5 to 70 degrees two-theta, sorted by position:
2θ (°)  I_rel
18.0  100
36.5  14
36.9  22
38.1  7
43.3  18
44.4  34
47.5  6
57.9  8
62.2  9
65.1  13

[6]
Li2Fe3Co5O16: simulated powder X-ray diffraction pattern (a wavelength of 1.5418 Å), based on the PBE+U geometry in Alexandria.
Peak positions follow from Bragg's law for the DFT cell and can differ from measured ones.

Structure:
```
Li2Fe3Co5O16
1.0
5.153 0.000 0.000
0.000 2.882 0.000
-0.914 0.000 18.676
Li Fe Co O
2 3 5 16
direct
0.245 0.000 0.242
0.755 0.000 0.758
0.374 0.000 0.627
0.500 0.500 0.500
0.626 0.000 0.373
0.000 0.500 0.000
0.130 0.000 0.878
0.256 0.500 0.755
0.744 0.500 0.245
0.870 0.000 0.122
0.015 0.500 0.181
0.111 0.000 0.700
0.132 0.000 0.057
0.233 0.500 0.568
0.261 0.500 0.933
0.363 0.000 0.441
0.396 0.000 0.810
0.475 0.500 0.307
0.525 0.500 0.693
0.604 0.000 0.190
0.637 0.000 0.559
0.739 0.500 0.067
0.767 0.500 0.432
0.868 0.000 0.943
0.889 0.000 0.300
0.985 0.500 0.819
```

Top 10 peaks for 5 to 70 degrees two-theta, sorted by position:
2θ (°)  I_rel
18.1  100
36.7  24
37.2  10
38.3  5
43.9  30
44.6  14
48.1  8
57.3  10
63.1  7
65.6  8

[7]
Li2Fe3Co3O12: simulated powder X-ray diffraction pattern (a wavelength of 1.5418 Å), based on the PBE+U geometry in Alexandria.
Peak positions follow from Bragg's law for the DFT cell and can differ from measured ones.

Structure:
```
Li2Fe3Co3O12
1.0
5.817 0.000 0.000
0.084 5.890 0.000
1.512 1.865 6.374
Li Fe Co O
2 3 3 12
direct
0.191 0.189 0.306
0.809 0.811 0.694
0.000 0.000 0.000
0.332 0.349 0.678
0.668 0.651 0.322
0.165 0.667 0.330
0.500 0.000 0.000
0.835 0.333 0.670
0.065 0.104 0.699
0.070 0.574 0.632
0.248 0.776 0.031
0.253 0.213 0.991
0.392 0.437 0.360
0.409 0.896 0.295
0.591 0.104 0.705
0.608 0.563 0.640
0.747 0.787 0.009
0.752 0.224 0.969
0.930 0.426 0.368
0.935 0.896 0.301
```

Top 10 peaks for 5 to 70 degrees two-theta, sorted by position:
2θ (°)  I_rel
17.8  100
36.0  13
36.2  10
36.5  11
42.5  16
43.5  16
44.1  15
55.3  6
64.1  8
66.5  5

[8]
Li7Fe3CoP6O24: simulated powder X-ray diffraction pattern (a wavelength of 1.5418 Å), based on the PBE+U geometry in Alexandria.
Peak positions follow from Bragg's law for the DFT cell and can differ from measured ones.

Structure:
```
Li7Fe3CoP6O24
1.0
4.221 2.437 7.623
-4.221 2.437 7.623
0.000 -4.874 7.623
Li Fe Co P O
7 3 1 6 24
direct
0.000 0.000 0.000
0.124 0.753 0.373
0.284 0.600 0.869
0.373 0.124 0.753
0.600 0.869 0.284
0.753 0.373 0.124
0.869 0.284 0.600
0.181 0.181 0.181
0.688 0.688 0.688
0.882 0.882 0.882
0.381 0.381 0.381
0.072 0.489 0.789
0.285 0.992 0.583
0.489 0.789 0.072
0.583 0.285 0.992
0.789 0.072 0.489
0.992 0.583 0.285
0.028 0.420 0.244
0.053 0.634 0.848
0.154 0.892 0.786
0.168 0.283 0.916
0.178 0.589 0.247
0.199 0.525 0.578
0.244 0.028 0.420
0.247 0.178 0.589
0.283 0.916 0.168
0.420 0.244 0.028
0.498 0.851 0.551
0.509 0.839 0.868
0.525 0.578 0.199
0.551 0.498 0.851
0.578 0.199 0.525
0.589 0.247 0.178
0.634 0.848 0.053
0.786 0.154 0.892
0.839 0.868 0.509
0.848 0.053 0.634
0.851 0.551 0.498
0.868 0.509 0.839
0.892 0.786 0.154
0.916 0.168 0.283
```

Top 10 peaks for 5 to 70 degrees two-theta, sorted by position:
2θ (°)  I_rel
14.4  67
19.7  71
21.0  21
24.1  100
29.0  49
31.6  83
36.9  29
49.4  24
51.9  25
61.1  17

[9]
Li4Fe3CoP4O16: simulated powder X-ray diffraction pattern (a wavelength of 1.5418 Å), based on the PBE+U geometry in Alexandria.
Peak positions follow from Bragg's law for the DFT cell and can differ from measured ones.

Structure:
```
Li4Fe3CoP4O16
1.0
4.753 0.000 0.000
0.000 6.057 0.000
-0.009 0.000 10.412
Li Fe Co P O
4 3 1 4 16
direct
0.000 0.250 0.000
0.000 0.750 0.000
0.500 0.250 0.498
0.500 0.750 0.498
0.025 0.000 0.717
0.475 0.000 0.218
0.525 0.500 0.779
0.981 0.500 0.281
0.082 0.500 0.591
0.418 0.500 0.095
0.582 0.000 0.905
0.917 0.000 0.403
0.205 0.500 0.452
0.216 0.296 0.662
0.216 0.704 0.662
0.240 0.000 0.401
0.259 0.000 0.903
0.282 0.297 0.166
0.282 0.703 0.166
0.295 0.500 0.957
0.706 0.000 0.043
0.716 0.204 0.834
0.716 0.796 0.834
0.741 0.500 0.099
0.758 0.500 0.593
0.783 0.204 0.331
0.783 0.796 0.331
0.792 0.000 0.540
```

Top 10 peaks for 5 to 70 degrees two-theta, sorted by position:
2θ (°)  I_rel
17.0  34
20.5  59
25.3  91
29.5  74
31.9  29
35.3  100
36.2  29
37.6  21
52.0  36
56.1  24